[1]
Computed X-ray powder pattern of Dy2Fe17 for Cu Kα, from a cell relaxed with GGA-PBE.
Neutral-atom scattering factors, no anomalous dispersion.

Structural model:
```
data_Dy2Fe17
_space_group_name_H-M_alt 'P 1'
_space_group_IT_number 1
_cell_length_a 6.4063
_cell_length_b 6.4063
_cell_length_c 6.4063
_cell_angle_alpha 83.15
_cell_angle_beta 83.15
_cell_angle_gamma 83.15
loop_
_space_group_symop_operation_xyz
'x,y,z'
loop_
_atom_site_label
_atom_site_type_symbol
_atom_site_fract_x
_atom_site_fract_y
_atom_site_fract_z
Dy1 Dy 0.1582 0.1582 0.1582
Dy2 Dy 0.8418 0.8418 0.8418
Fe1 Fe 0.0000 0.5000 0.5000
Fe2 Fe 0.1558 0.1558 0.6552
Fe3 Fe 0.1558 0.6552 0.1558
Fe4 Fe 0.2069 0.5000 0.7931
Fe5 Fe 0.2069 0.7931 0.5000
Fe6 Fe 0.3448 0.8442 0.8442
Fe7 Fe 0.4024 0.4024 0.4024
Fe8 Fe 0.5000 0.0000 0.5000
Fe9 Fe 0.5000 0.2069 0.7931
Fe10 Fe 0.5000 0.5000 0.0000
Fe11 Fe 0.5000 0.7931 0.2069
Fe12 Fe 0.5976 0.5976 0.5976
Fe13 Fe 0.6552 0.1558 0.1558
Fe14 Fe 0.7931 0.2069 0.5000
Fe15 Fe 0.7931 0.5000 0.2069
Fe16 Fe 0.8442 0.3448 0.8442
Fe17 Fe 0.8442 0.8442 0.3448
```

Most intense lines, 2θ = 15–90°, sorted by position:
| two_theta | I_rel |
| --- | --- |
| 30.2 | 41 |
| 36.6 | 43 |
| 38.0 | 28 |
| 42.5 | 62 |
| 42.9 | 100 |
| 43.8 | 18 |
| 44.0 | 31 |
| 48.2 | 17 |
| 62.0 | 16 |
| 62.9 | 17 |
| 77.8 | 17 |
| 80.1 | 17 |



[2]
Computed X-ray powder pattern of CaMg14Zr for Cu Kα, from a cell relaxed with GGA-PBE.
Neutral-atom scattering factors, no anomalous dispersion.

Structural model:
```
data_CaMg14Zr
_space_group_name_H-M_alt 'P 1'
_space_group_IT_number 1
_cell_length_a 6.5398
_cell_length_b 6.5398
_cell_length_c 10.3101
_cell_angle_alpha 90.00
_cell_angle_beta 90.00
_cell_angle_gamma 120.00
loop_
_space_group_symop_operation_xyz
'x,y,z'
loop_
_atom_site_label
_atom_site_type_symbol
_atom_site_fract_x
_atom_site_fract_y
_atom_site_fract_z
Ca1 Ca 0.0000 0.0000 0.0000
Mg1 Mg 0.0039 0.5020 0.5000
Mg2 Mg 0.0060 0.5030 0.0000
Mg3 Mg 0.1680 0.3360 0.2576
Mg4 Mg 0.1680 0.3360 0.7424
Mg5 Mg 0.1680 0.8320 0.2576
Mg6 Mg 0.1680 0.8320 0.7424
Mg7 Mg 0.4970 0.5030 0.0000
Mg8 Mg 0.4970 0.9940 0.0000
Mg9 Mg 0.4980 0.5020 0.5000
Mg10 Mg 0.4980 0.9961 0.5000
Mg11 Mg 0.6640 0.8320 0.2576
Mg12 Mg 0.6640 0.8320 0.7424
Mg13 Mg 0.6667 0.3333 0.2489
Mg14 Mg 0.6667 0.3333 0.7511
Zr1 Zr 0.0000 0.0000 0.5000
```

Most intense lines, 2θ = 15–90°, sorted by position:
| two_theta | I_rel |
| --- | --- |
| 15.6 | 15 |
| 17.9 | 9 |
| 23.3 | 13 |
| 31.6 | 26 |
| 34.8 | 24 |
| 36.2 | 100 |
| 47.7 | 16 |
| 56.3 | 17 |
| 63.3 | 18 |
| 67.9 | 19 |
| 68.8 | 14 |
| 89.7 | 6 |



[3]
Computed X-ray powder pattern of CoBi3 for Cu Kα, from a cell relaxed with GGA-PBE.
Neutral-atom scattering factors, no anomalous dispersion.

Structural model:
```
data_CoBi3
_space_group_name_H-M_alt 'P 1'
_space_group_IT_number 1
_cell_length_a 9.1809
_cell_length_b 4.1465
_cell_length_c 11.2890
_cell_angle_alpha 90.00
_cell_angle_beta 90.00
_cell_angle_gamma 90.00
loop_
_space_group_symop_operation_xyz
'x,y,z'
loop_
_atom_site_label
_atom_site_type_symbol
_atom_site_fract_x
_atom_site_fract_y
_atom_site_fract_z
Co1 Co 0.0879 0.2500 0.0217
Co2 Co 0.4121 0.7500 0.5217
Co3 Co 0.5879 0.2500 0.4783
Co4 Co 0.9121 0.7500 0.9783
Bi1 Bi 0.0900 0.7500 0.1770
Bi2 Bi 0.1218 0.7500 0.5878
Bi3 Bi 0.1957 0.7500 0.8948
Bi4 Bi 0.3043 0.2500 0.3948
Bi5 Bi 0.3782 0.2500 0.0878
Bi6 Bi 0.4100 0.2500 0.6770
Bi7 Bi 0.5900 0.7500 0.3230
Bi8 Bi 0.6218 0.7500 0.9122
Bi9 Bi 0.6957 0.7500 0.6052
Bi10 Bi 0.8043 0.2500 0.1052
Bi11 Bi 0.8782 0.2500 0.4122
Bi12 Bi 0.9100 0.2500 0.8230
```

Most intense lines, 2θ = 15–90°, sorted by position:
| two_theta | I_rel |
| --- | --- |
| 28.4 | 35 |
| 29.0 | 100 |
| 30.1 | 24 |
| 30.7 | 46 |
| 32.1 | 75 |
| 33.3 | 57 |
| 33.6 | 26 |
| 37.4 | 21 |
| 43.5 | 35 |
| 43.7 | 36 |
| 56.0 | 28 |
| 57.2 | 34 |



[4]
Computed X-ray powder pattern of Cs2SrP2O7 for Cu Kα, from a cell relaxed with GGA-PBE.
Neutral-atom scattering factors, no anomalous dispersion.

Structural model:
```
data_Cs2SrP2O7
_space_group_name_H-M_alt 'P 1'
_space_group_IT_number 1
_cell_length_a 6.1624
_cell_length_b 6.1624
_cell_length_c 13.7652
_cell_angle_alpha 103.68
_cell_angle_beta 103.68
_cell_angle_gamma 59.70
loop_
_space_group_symop_operation_xyz
'x,y,z'
loop_
_atom_site_label
_atom_site_type_symbol
_atom_site_fract_x
_atom_site_fract_y
_atom_site_fract_z
Cs1 Cs 0.0871 0.6295 0.8357
Cs2 Cs 0.3705 0.9129 0.6643
Cs3 Cs 0.6295 0.0871 0.3357
Cs4 Cs 0.9129 0.3705 0.1643
Sr1 Sr 0.0000 0.5000 0.5000
Sr2 Sr 0.5000 0.0000 0.0000
P1 P 0.2303 0.6980 0.1329
P2 P 0.3020 0.7697 0.3671
P3 P 0.6980 0.2303 0.6329
P4 P 0.7697 0.3020 0.8671
O1 O 0.0395 0.2019 0.9248
O2 O 0.1741 0.8259 0.2500
O3 O 0.1918 0.6163 0.3910
O4 O 0.2019 0.0395 0.4248
O5 O 0.3771 0.4080 0.1290
O6 O 0.3837 0.8082 0.1090
O7 O 0.4080 0.3771 0.6290
O8 O 0.5920 0.6229 0.3710
O9 O 0.6163 0.1918 0.8910
O10 O 0.6229 0.5920 0.8710
O11 O 0.7981 0.9605 0.5752
O12 O 0.8082 0.3837 0.6090
O13 O 0.8259 0.1741 0.7500
O14 O 0.9605 0.7981 0.0752
```

Most intense lines, 2θ = 15–90°, sorted by position:
| two_theta | I_rel |
| --- | --- |
| 24.4 | 54 |
| 24.6 | 29 |
| 27.8 | 40 |
| 28.1 | 79 |
| 29.0 | 100 |
| 29.1 | 47 |
| 34.9 | 19 |
| 38.0 | 20 |
| 38.5 | 33 |
| 40.9 | 22 |
| 51.0 | 36 |
| 51.2 | 27 |



[5]
Computed X-ray powder pattern of Sr3Ir2O7 for Cu Kα, from a cell relaxed with GGA-PBE.
Neutral-atom scattering factors, no anomalous dispersion.

Structural model:
```
data_Sr3Ir2O7
_space_group_name_H-M_alt 'P 1'
_space_group_IT_number 1
_cell_length_a 10.9346
_cell_length_b 10.9346
_cell_length_c 5.5726
_cell_angle_alpha 90.00
_cell_angle_beta 90.00
_cell_angle_gamma 150.48
loop_
_space_group_symop_operation_xyz
'x,y,z'
loop_
_atom_site_label
_atom_site_type_symbol
_atom_site_fract_x
_atom_site_fract_y
_atom_site_fract_z
Sr1 Sr 0.0626 0.9374 0.7500
Sr2 Sr 0.2500 0.7500 0.7500
Sr3 Sr 0.4374 0.5626 0.7500
Sr4 Sr 0.5626 0.4374 0.2500
Sr5 Sr 0.7500 0.2500 0.2500
Sr6 Sr 0.9374 0.0626 0.2500
Ir1 Ir 0.1527 0.8473 0.2500
Ir2 Ir 0.3473 0.6527 0.2500
Ir3 Ir 0.6527 0.3473 0.7500
Ir4 Ir 0.8473 0.1527 0.7500
O1 O 0.0355 0.3420 0.0612
O2 O 0.0559 0.9441 0.2500
O3 O 0.1580 0.4645 0.5612
O4 O 0.2500 0.7500 0.2500
O5 O 0.3420 0.0355 0.5612
O6 O 0.4441 0.5559 0.2500
O7 O 0.4645 0.1580 0.0612
O8 O 0.5355 0.8420 0.9388
O9 O 0.5559 0.4441 0.7500
O10 O 0.6580 0.9645 0.4388
O11 O 0.7500 0.2500 0.7500
O12 O 0.8420 0.5355 0.4388
O13 O 0.9441 0.0559 0.7500
O14 O 0.9645 0.6580 0.9388
```

Most intense lines, 2θ = 15–90°, sorted by position:
| two_theta | I_rel |
| --- | --- |
| 16.8 | 18 |
| 23.0 | 20 |
| 31.0 | 100 |
| 32.1 | 59 |
| 42.8 | 15 |
| 46.1 | 27 |
| 54.5 | 22 |
| 56.6 | 42 |
| 64.7 | 16 |
| 71.0 | 9 |
| 76.5 | 11 |
| 88.9 | 9 |



[6]
Computed X-ray powder pattern of MnAg2Sn3S8 for Cu Kα, from a cell relaxed with GGA-PBE.
Neutral-atom scattering factors, no anomalous dispersion.

Structural model:
```
data_MnAg2Sn3S8
_space_group_name_H-M_alt 'P 1'
_space_group_IT_number 1
_cell_length_a 7.6439
_cell_length_b 7.6439
_cell_length_c 7.6439
_cell_angle_alpha 60.16
_cell_angle_beta 60.16
_cell_angle_gamma 60.16
loop_
_space_group_symop_operation_xyz
'x,y,z'
loop_
_atom_site_label
_atom_site_type_symbol
_atom_site_fract_x
_atom_site_fract_y
_atom_site_fract_z
Mn1 Mn 0.0000 0.0000 0.0000
Ag1 Ag 0.3818 0.3818 0.3818
Ag2 Ag 0.6182 0.6182 0.6182
Sn1 Sn 0.0000 0.0000 0.5000
Sn2 Sn 0.0000 0.5000 0.0000
Sn3 Sn 0.5000 0.0000 0.0000
S1 S 0.2163 0.7634 0.7634
S2 S 0.2366 0.2366 0.7837
S3 S 0.2366 0.7837 0.2366
S4 S 0.2445 0.2445 0.2445
S5 S 0.7555 0.7555 0.7555
S6 S 0.7634 0.2163 0.7634
S7 S 0.7634 0.7634 0.2163
S8 S 0.7837 0.2366 0.2366
```

Most intense lines, 2θ = 15–90°, sorted by position:
| two_theta | I_rel |
| --- | --- |
| 23.3 | 31 |
| 27.3 | 100 |
| 33.1 | 24 |
| 40.8 | 12 |
| 43.4 | 41 |
| 47.5 | 32 |
| 47.6 | 31 |
| 55.6 | 12 |
| 66.3 | 11 |
| 69.5 | 9 |
| 76.1 | 9 |
| 88.4 | 15 |



[7]
Computed X-ray powder pattern of CsMg6Al for Cu Kα, from a cell relaxed with GGA-PBE.
Neutral-atom scattering factors, no anomalous dispersion.

Structural model:
```
data_CsMg6Al
_space_group_name_H-M_alt 'P 1'
_space_group_IT_number 1
_cell_length_a 5.0977
_cell_length_b 7.1535
_cell_length_c 7.1535
_cell_angle_alpha 60.96
_cell_angle_beta 90.00
_cell_angle_gamma 90.00
loop_
_space_group_symop_operation_xyz
'x,y,z'
loop_
_atom_site_label
_atom_site_type_symbol
_atom_site_fract_x
_atom_site_fract_y
_atom_site_fract_z
Cs1 Cs 0.0000 0.0000 0.0000
Mg1 Mg 0.0000 0.0193 0.4818
Mg2 Mg 0.0000 0.4818 0.0193
Mg3 Mg 0.0000 0.5020 0.5020
Mg4 Mg 0.5000 0.1974 0.6115
Mg5 Mg 0.5000 0.6115 0.1974
Mg6 Mg 0.5000 0.6702 0.6702
Al1 Al 0.5000 0.2024 0.2024
```

Most intense lines, 2θ = 15–90°, sorted by position:
| two_theta | I_rel |
| --- | --- |
| 17.4 | 18 |
| 22.5 | 55 |
| 22.6 | 28 |
| 24.9 | 19 |
| 28.5 | 32 |
| 29.0 | 18 |
| 30.5 | 17 |
| 33.6 | 100 |
| 34.0 | 45 |
| 35.2 | 29 |
| 45.9 | 17 |
| 62.1 | 28 |



[8]
Computed X-ray powder pattern of NaLiHo2F8 for Cu Kα, from a cell relaxed with GGA-PBE.
Neutral-atom scattering factors, no anomalous dispersion.

Structural model:
```
data_NaLiHo2F8
_space_group_name_H-M_alt 'P 1'
_space_group_IT_number 1
_cell_length_a 6.6918
_cell_length_b 6.6918
_cell_length_c 7.0403
_cell_angle_alpha 90.00
_cell_angle_beta 90.00
_cell_angle_gamma 76.84
loop_
_space_group_symop_operation_xyz
'x,y,z'
loop_
_atom_site_label
_atom_site_type_symbol
_atom_site_fract_x
_atom_site_fract_y
_atom_site_fract_z
Na1 Na 0.1566 0.8434 0.7500
Na2 Na 0.8434 0.1566 0.2500
Li1 Li 0.5000 0.5000 0.0000
Li2 Li 0.5000 0.5000 0.5000
Ho1 Ho 0.0501 0.5759 0.2500
Ho2 Ho 0.4241 0.9499 0.2500
Ho3 Ho 0.5759 0.0501 0.7500
Ho4 Ho 0.9499 0.4241 0.7500
F1 F 0.1095 0.8905 0.2500
F2 F 0.1596 0.5661 0.5512
F3 F 0.1596 0.5661 0.9488
F4 F 0.1947 0.2460 0.2500
F5 F 0.2460 0.1947 0.7500
F6 F 0.4137 0.5863 0.2500
F7 F 0.4339 0.8404 0.5512
F8 F 0.4339 0.8404 0.9488
F9 F 0.5661 0.1596 0.0512
F10 F 0.5661 0.1596 0.4488
F11 F 0.5863 0.4137 0.7500
F12 F 0.7540 0.8053 0.2500
F13 F 0.8053 0.7540 0.7500
F14 F 0.8404 0.4339 0.0512
F15 F 0.8404 0.4339 0.4488
F16 F 0.8905 0.1095 0.7500
```

Most intense lines, 2θ = 15–90°, sorted by position:
| two_theta | I_rel |
| --- | --- |
| 16.9 | 48 |
| 18.6 | 44 |
| 21.4 | 75 |
| 25.3 | 56 |
| 27.4 | 31 |
| 30.5 | 100 |
| 33.3 | 23 |
| 37.6 | 20 |
| 43.6 | 52 |
| 46.5 | 31 |
| 48.0 | 37 |
| 57.8 | 22 |



> Which formula does entry 7 have?

CsMg6Al